Record 1
This entry pairs a crystal structure of La3Ho8Er2 with its computed PXRD pattern. Radiation: Cu Kα. Structure: the GGA-PBE geometry in Alexandria.
Intensities are scaled so that the largest is 100.

Main lines, by angle (10° ≤ 2θ ≤ 80°):
(2 2 0), 2θ 24.63, 3.615 Å, I = 23; (5 1 1), 2θ 29.66, 3.012 Å, I = 35; (6 0 -1), 2θ 31.10, 2.876 Å, I = 35; (0 0 2), 2θ 31.75, 2.818 Å, I = 45; (4 2 -1), 2θ 33.26, 2.694 Å, I = 100; (1 3 0), 2θ 35.02, 2.562 Å, I = 10; (8 0 0), 2θ 35.80, 2.508 Å, I = 11; (2 2 -2), 2θ 40.59, 2.223 Å, I = 12; (4 2 -3), 2θ 57.53, 1.602 Å, I = 21; (5 5 1), 2θ 66.79, 1.401 Å, I = 11

Unit cell a=20.065 b=7.751 c=5.636 alpha=90.00 beta=90.04 gamma=90.00
Space group C2/m (No. 12)
One atom of each set of equivalent atoms:
La  0.000  0.000  0.000
La  0.000  0.299  0.500
Ho  0.111  0.292  0.000
Ho  0.137  0.000  0.500
Ho  0.174  0.500  0.501
Er  0.241  0.000  0.999

---

Record 2
This entry pairs a crystal structure of La16Ho7Er6 with its computed PXRD pattern. Radiation: Cu Kα. Structure: the GGA-PBE geometry in Alexandria.
Intensities are scaled so that the largest is 100.

Main lines, by angle (10° ≤ 2θ ≤ 80°):
(2 2 0), 2θ 15.49, 5.721 Å, I = 6; (4 2 2), 2θ 27.00, 3.303 Å, I = 6; (3 3 3), 2θ 28.67, 3.114 Å, I = 5; (4 4 0), 2θ 31.27, 2.860 Å, I = 100; (5 3 1), 2θ 32.74, 2.735 Å, I = 4; (6 2 0), 2θ 35.08, 2.558 Å, I = 5; (8 0 0), 2θ 44.81, 2.023 Å, I = 16; (8 4 4), 2θ 55.66, 1.651 Å, I = 30; (8 8 0), 2θ 65.24, 1.430 Å, I = 9; (12 4 0), 2θ 74.12, 1.279 Å, I = 10

Unit cell a=16.180 b=16.180 c=16.180 alpha=90.00 beta=90.00 gamma=90.00
Space group Fm-3m (No. 225)
One atom of each set of equivalent atoms:
La  0.125  0.125  0.125
La  0.147  0.147  0.353
Ho  0.000  0.000  0.000
Ho  0.000  0.250  0.250
Er  0.000  0.000  0.259

---

Record 3
This entry pairs a crystal structure of LaHo3Er6 with its computed PXRD pattern. Radiation: Cu Kα. Structure: the GGA-PBE geometry in Alexandria.
Intensities are scaled so that the largest is 100.

Main lines, by angle (10° ≤ 2θ ≤ 80°):
(1 3 2), 2θ 28.30, 3.154 Å, I = 34; (2 2 2), 2θ 30.03, 2.976 Å, I = 55; (2 4 0), 2θ 30.15, 2.965 Å, I = 23; (3 1 1), 2θ 30.77, 2.905 Å, I = 52; (2 4 1), 2θ 31.82, 2.812 Å, I = 59; (0 2 3), 2θ 32.42, 2.761 Å, I = 100; (3 1 2), 2θ 35.51, 2.528 Å, I = 22; (3 1 4), 2θ 50.69, 1.801 Å, I = 15; (4 4 3), 2θ 55.33, 1.660 Å, I = 17; (5 3 2), 2θ 56.00, 1.642 Å, I = 16

Unit cell a=9.416 b=15.265 c=8.888 alpha=90.00 beta=90.00 gamma=90.00
Space group Cmc2_1 (No. 36)
One atom of each set of equivalent atoms:
La  0.000  0.225  0.000
Ho  0.000  0.453  0.905
Ho  0.172  0.141  0.424
Er  0.000  0.052  0.776
Er  0.000  0.288  0.634
Er  0.177  0.351  0.265
Er  0.246  0.059  0.093

---

Record 4
This entry pairs a crystal structure of La3Ho5Er4 with its computed PXRD pattern. Radiation: Cu Kα. Structure: the GGA-PBE geometry in Alexandria.
Intensities are scaled so that the largest is 100.

Main lines, by angle (10° ≤ 2θ ≤ 80°):
(5 1 -1), 2θ 29.62, 3.016 Å, I = 88; (1 1 2), 2θ 30.08, 2.971 Å, I = 100; (0 2 0), 2θ 31.28, 2.860 Å, I = 89; (4 0 -3), 2θ 31.71, 2.822 Å, I = 69; (5 1 0), 2θ 32.07, 2.791 Å, I = 34; (6 0 1), 2θ 40.19, 2.244 Å, I = 19; (4 2 -3), 2θ 45.14, 2.009 Å, I = 52; (6 2 1), 2θ 51.80, 1.765 Å, I = 20; (5 3 -1), 2θ 54.64, 1.680 Å, I = 16; (1 3 2), 2θ 54.91, 1.672 Å, I = 19

Unit cell a=17.752 b=5.720 c=8.714 alpha=90.00 beta=115.76 gamma=90.00
Space group C2/m (No. 12)
One atom of each set of equivalent atoms:
La  0.000  0.000  0.000
La  0.184  0.500  0.230
Ho  0.000  0.500  0.000
Ho  0.092  0.000  0.443
Ho  0.162  0.000  0.891
Er  0.039  0.500  0.697
Er  0.211  0.500  0.650

---

Record 5
This entry pairs a crystal structure of La2Ho2ErMg5 with its computed PXRD pattern. Radiation: Cu Kα. Structure: the GGA-PBE geometry in Alexandria.
Intensities are scaled so that the largest is 100.

Main lines, by angle (10° ≤ 2θ ≤ 80°):
(0 0 1), 2θ 17.41, 5.094 Å, I = 87; (3 1 0), 2θ 26.54, 3.358 Å, I = 46; (2 2 1), 2θ 29.55, 3.022 Å, I = 20; (3 1 1), 2θ 31.92, 2.804 Å, I = 100; (4 1 0), 2θ 34.83, 2.576 Å, I = 17; (0 0 2), 2θ 35.21, 2.549 Å, I = 65; (3 1 2), 2θ 44.65, 2.029 Å, I = 23; (5 1 1), 2θ 47.16, 1.927 Å, I = 16; (3 1 3), 2θ 61.16, 1.515 Å, I = 15; (7 2 1), 2θ 66.70, 1.402 Å, I = 13

Unit cell a=10.620 b=10.620 c=5.094 alpha=90.00 beta=90.00 gamma=90.00
Space group P4/mbm (No. 127)
One atom of each set of equivalent atoms:
La  0.176  0.324  0.000
Ho  0.121  0.621  0.000
Er  0.000  0.000  0.000
Mg  0.000  0.500  0.500
Mg  0.070  0.802  0.500

---

Record 6
This entry pairs a crystal structure of LaNdHo4Er2 with its computed PXRD pattern. Radiation: Cu Kα. Structure: the GGA-PBE geometry in Alexandria.
Intensities are scaled so that the largest is 100.

Main lines, by angle (10° ≤ 2θ ≤ 80°):
(2 0 1), 2θ 29.84, 2.994 Å, I = 46; (0 0 4), 2θ 31.05, 2.881 Å, I = 35; (0 2 2), 2θ 32.80, 2.730 Å, I = 100; (2 0 -3), 2θ 37.27, 2.412 Å, I = 26; (2 0 5), 2θ 49.27, 1.850 Å, I = 12; (4 2 0), 2θ 51.02, 1.790 Å, I = 26; (0 2 6), 2θ 56.36, 1.633 Å, I = 22; (4 2 4), 2θ 60.94, 1.520 Å, I = 31; (4 0 -2), 2θ 61.99, 1.497 Å, I = 16; (4 0 -6), 2θ 79.44, 1.206 Å, I = 7

Unit cell a=7.155 b=7.162 c=11.522 alpha=89.98 beta=89.99 gamma=60.04
Space group P-1 (No. 2)
One atom of each set of equivalent atoms:
La  0.000  0.000  0.000
La  0.500  0.500  0.000
Nd  0.000  0.000  0.500
Nd  0.500  0.000  0.000
Ho  0.166  0.167  0.253
Ho  0.167  0.667  0.253
Ho  0.334  0.333  0.747
Ho  0.334  0.832  0.747
Er  0.000  0.500  0.000
Er  0.000  0.500  0.500
Er  0.500  0.000  0.500
Er  0.500  0.500  0.500

---

Record 7
This entry pairs a crystal structure of La2NdHoEr2 with its computed PXRD pattern. Radiation: Cu Kα. Structure: the GGA-PBE geometry in Alexandria.
Intensities are scaled so that the largest is 100.

Main lines, by angle (10° ≤ 2θ ≤ 80°):
(0 3 1), 2θ 28.91, 3.088 Å, I = 10; (1 3 0), 2θ 30.33, 2.947 Å, I = 100; (0 2 2), 2θ 31.13, 2.873 Å, I = 15; (2 0 0), 2θ 31.60, 2.831 Å, I = 88; (1 3 1), 2θ 33.05, 2.710 Å, I = 31; (0 3 2), 2θ 36.81, 2.442 Å, I = 15; (2 2 2), 2θ 44.98, 2.015 Å, I = 11; (2 3 2), 2θ 49.31, 1.848 Å, I = 13; (3 3 0), 2θ 55.54, 1.654 Å, I = 18; (2 6 1), 2θ 64.69, 1.441 Å, I = 10

Unit cell a=5.655 b=10.358 c=6.907 alpha=90.00 beta=90.00 gamma=90.00
Space group Pmc2_1 (No. 26)
One atom of each set of equivalent atoms:
La  0.000  0.026  0.000
La  0.500  0.205  0.265
Nd  0.000  0.307  0.639
Ho  0.500  0.471  0.894
Er  0.000  0.378  0.146
Er  0.500  0.130  0.756

---

Record 8
This entry pairs a crystal structure of La2NdHoEr5 with its computed PXRD pattern. Radiation: Cu Kα. Structure: the GGA-PBE geometry in Alexandria.
Intensities are scaled so that the largest is 100.

Main lines, by angle (10° ≤ 2θ ≤ 80°):
(2 1 3), 2θ 28.66, 3.115 Å, I = 39; (2 2 0), 2θ 29.13, 3.066 Å, I = 54; (2 0 4), 2θ 30.75, 2.908 Å, I = 100; (3 1 0), 2θ 32.66, 2.742 Å, I = 10; (3 1 2), 2θ 34.66, 2.588 Å, I = 11; (3 2 1), 2θ 37.85, 2.377 Å, I = 13; (0 0 8), 2θ 46.31, 1.960 Å, I = 11; (4 2 4), 2θ 52.66, 1.738 Å, I = 26; (2 2 8), 2θ 55.65, 1.652 Å, I = 12; (4 4 0), 2θ 60.38, 1.533 Å, I = 14

Unit cell a=8.671 b=8.671 c=15.683 alpha=90.00 beta=90.00 gamma=90.00
Space group I4/mcm (No. 140)
One atom of each set of equivalent atoms:
La  0.117  0.383  0.000
Nd  0.000  0.000  0.250
Ho  0.000  0.500  0.250
Er  0.000  0.000  0.000
Er  0.215  0.285  0.359